# Ho3Ga4Ni8
Theoretical PXRD pattern, CuKα. Input: a cell relaxed with GGA-PBE.

Structural model:
Lattice parameters (Å, degrees): 8.582 8.582 8.582 60.00 60.00 60.00
Sites, in units of the cell vectors:
Ho 0.230 0.230 0.770
Ho 0.230 0.770 0.230
Ho 0.230 0.770 0.770
Ho 0.770 0.230 0.230
Ho 0.770 0.230 0.770
Ho 0.770 0.770 0.230
Ga 0.000 0.000 0.000
Ga 0.000 0.000 0.500
Ga 0.000 0.500 0.000
Ga 0.000 0.500 0.500
Ga 0.500 0.000 0.000
Ga 0.500 0.000 0.500
Ga 0.500 0.500 0.000
Ga 0.500 0.500 0.500
Ni 0.123 0.626 0.626
Ni 0.174 0.174 0.174
Ni 0.174 0.174 0.478
Ni 0.174 0.478 0.174
Ni 0.374 0.374 0.374
Ni 0.374 0.374 0.877
Ni 0.374 0.877 0.374
Ni 0.478 0.174 0.174
Ni 0.522 0.826 0.826
Ni 0.626 0.123 0.626
Ni 0.626 0.626 0.123
Ni 0.626 0.626 0.626
Ni 0.826 0.522 0.826
Ni 0.826 0.826 0.522
Ni 0.826 0.826 0.826
Ni 0.877 0.374 0.374

Main lines, in order of rising 2θ (10 to 90 degrees two-theta):
| d (Å) | 2θ (°) | I/Imax |
| --- | --- | --- |
| 3.504 | 25.4 | 124 |
| 3.034 | 29.4 | 210 |
| 2.714 | 33.0 | 148 |
| 2.336 | 38.5 | 257 |
| 2.146 | 42.1 | 1000 |
| 1.239 | 77.0 | 248 |